Diffraction record for LiNdRhPb. The powder diffractogram is simulated, not measured: it uses a structure optimized by DFT (PBE) and Cu Kα (λ = 1.5418 Å).
Intensities are scaled so that the largest is 100.

Crystal structure
Cell: 6.918 6.918 6.918 Å, 90.00 90.00 90.00°
Space group F-43m (No. 216)
Asymmetric unit:
Li (0.000, 0.000, 0.000) (multiplicity 4)
Nd (0.250, 0.250, 0.750) (multiplicity 4)
Rh (0.000, 0.000, 0.500) (multiplicity 4)
Pb (0.250, 0.250, 0.250) (multiplicity 4)

The 12 most intense peaks (2θ = 15–90°), low angle first:
(hkl)  Position (°2θ)  Rel. int.
1 1 1  22.26  15
2 0 0  25.76  33
2 2 0  36.75  100
3 1 1  43.38  8
2 2 2  45.42  10
4 0 0  52.94  18
3 3 1  58.12  3
4 2 0  59.79  14
4 2 2  66.18  36
4 4 0  78.16  11
6 0 0  83.92  7
6 2 0  89.63  17

Diffraction record for Al3Ga3Pb. The powder diffractogram is simulated, not measured: it uses a structure optimized by DFT (PBE) and Cu Kα (λ = 1.5418 Å).
Intensities are scaled so that the largest is 100.

Crystal structure
Cell: 7.142 7.142 7.142 Å, 90.00 90.00 90.00°
Space group Pm-3n (No. 223)
Asymmetric unit:
Al (0.000, 0.250, 0.500) (multiplicity 6)
Ga (0.000, 0.500, 0.250) (multiplicity 6)
Pb (0.000, 0.000, 0.000) (multiplicity 2)

The 12 most intense peaks (2θ = 15–90°), low angle first:
(hkl)  Position (°2θ)  Rel. int.
1 1 0  17.56  20
2 0 0  24.94  42
2 1 0  27.94  12
2 1 1  30.66  100
3 2 1  47.65  60
4 0 0  51.16  16
4 2 0  57.73  17
3 3 2  60.84  14
5 2 1  72.49  17
4 4 0  75.27  10
6 0 0  80.74  8
6 1 1  83.43  18

Diffraction record for Zn4InGaO7. The powder diffractogram is simulated, not measured: it uses a structure optimized by DFT (PBE) and Cu Kα (λ = 1.5418 Å).
Intensities are scaled so that the largest is 100.

Crystal structure
Cell: 3.3290 3.3290 33.3727 Å, 90.00 90.00 120.00°
Space group P6_3/mmc (No. 194)
Asymmetric unit:
Zn (0.0000, 0.0000, 0.1714) (multiplicity 4)
Zn (0.3333, 0.6667, 0.0926) (multiplicity 4)
In (0.0000, 0.0000, 0.0000) (multiplicity 2)
Ga (0.3333, 0.6667, 0.2500) (multiplicity 2)
O (0.0000, 0.0000, 0.1115) (multiplicity 4)
O (0.0000, 0.0000, 0.2500) (multiplicity 2)
O (0.3333, 0.6667, 0.0330) (multiplicity 4)
O (0.3333, 0.6667, 0.1901) (multiplicity 4)

The 12 most intense peaks (2θ = 15–90°), low angle first:
(hkl)  Position (°2θ)  Rel. int.
1 0 0  31.02  20
1 0 1  31.14  39
0 0 12  32.19  34
1 0 5  33.87  13
1 0 6  35.06  100
1 0 7  36.42  11
1 0 12  45.31  15
1 0 13  47.42  17
1 1 0  55.18  44
1 0 18  59.26  26
1 1 12  65.33  26
2 0 6  67.07  15

Diffraction record for Tb4Ge6O19. The powder diffractogram is simulated, not measured: it uses a structure optimized by DFT (PBE) and Cu Kα (λ = 1.5418 Å).
Intensities are scaled so that the largest is 100.

Crystal structure
Cell: 8.658 8.658 8.658 Å, 90.00 90.00 90.00°
Space group I23 (No. 197)
Asymmetric unit:
Tb (0.159, 0.159, 0.841) (multiplicity 8)
Ge (0.000, 0.335, 0.500) (multiplicity 12)
O (0.000, 0.000, 0.000) (multiplicity 2)
O (0.000, 0.000, 0.348) (multiplicity 12)
O (0.045, 0.325, 0.288) (multiplicity 24)

The 12 most intense peaks (2θ = 15–90°), low angle first:
(hkl)  Position (°2θ)  Rel. int.
2 1 1  25.19  100
3 1 0  32.71  72
2 2 2  35.93  19
3 2 1  38.92  36
3 3 0  44.39  58
4 2 2  51.72  22
4 1 3  54.00  25
5 2 1  58.38  23
5 0 3  62.55  11
6 0 0  64.58  29
6 3 1  74.30  13
6 3 3  81.73  20